Structure and simulated PXRD pattern of LaGdRu (a structure optimized by DFT (PBE); λ = 1.5418 Å (Cu Kα)).
Kinematic intensities with the Lorentz-polarization factor, no thermal factor.

Most intense lines, 2θ from 10° to 80°, sorted by position:
Position (°2θ)  d (Å)  intensity  (hkl)
13.0  6.825  29  0 0 2
26.1  3.412  17  0 0 4
26.4  3.375  19  1 0 1
32.4  2.766  100  1 0 3
36.5  2.463  60  1 1 0
42.0  2.149  52  1 0 5
52.5  1.742  21  2 0 0
63.1  1.474  29  2 1 3
66.7  1.403  20  1 1 8
69.5  1.353  23  2 1 5

Structure:
Cell: 3.484 3.484 13.650 Å, 90.00 90.00 90.00°
Element x y z (fractional)
La 0.000 0.000 0.000
La 0.500 0.500 0.500
Gd 0.000 0.000 0.752
Gd 0.500 0.500 0.252
Ru 0.000 0.000 0.371
Ru 0.500 0.500 0.871